1.
Simulated XRD peak list
Compound: ThMgGa2Ni2
Radiation: λ = 1.5418 Å (Cu Kα)
Structure: a PBE-relaxed structure
Intensities are scaled so that the largest is 100.

Atomic structure:
Lattice parameters (Å, degrees): 4.2449 4.2449 6.7899 90.00 90.00 120.00
Space group P-3m1 (No. 164)
Symmetry-distinct sites (fractional):
Th 0.0000 0.0000 0.0000
Mg 0.0000 0.0000 0.5000
Ga 0.3333 0.6667 0.3022
Ni 0.3333 0.6667 0.7137

Peak list (12 most intense, 2θ = 10–90°, sorted by position)
| d (Å) | I_rel |
| --- | --- |
| 6.790 | 18.2 |
| 3.676 | 11.9 |
| 3.233 | 81.9 |
| 2.494 | 100.0 |
| 2.263 | 15.2 |
| 2.122 | 64.3 |
| 1.774 | 15.3 |
| 1.616 | 26.5 |
| 1.548 | 27.5 |
| 1.361 | 12.9 |
| 1.326 | 13.5 |
| 1.286 | 24.6 |

***

2.
Simulated XRD peak list
Compound: MgV2GaNi
Radiation: λ = 1.5418 Å (Cu Kα)
Structure: a PBE-relaxed structure
Intensities are scaled so that the largest is 100.

Atomic structure:
Lattice parameters (Å, degrees): 4.495 4.495 4.509 90.00 90.00 90.00
Space group P4/mmm (No. 123)
Symmetry-distinct sites (fractional):
Mg 0.000 0.000 0.000
V 0.000 0.500 0.000
Ga 0.000 0.000 0.500
Ni 0.500 0.500 0.500

Peak list (12 most intense, 2θ = 10–90°, sorted by position)
| d (Å) | I_rel |
| --- | --- |
| 4.495 | 5.4 |
| 3.179 | 8.8 |
| 2.598 | 100.0 |
| 2.255 | 25.2 |
| 2.247 | 50.0 |
| 1.839 | 3.8 |
| 1.592 | 31.6 |
| 1.589 | 15.7 |
| 1.359 | 11.5 |
| 1.356 | 22.8 |
| 1.299 | 15.2 |
| 1.124 | 4.7 |